Computed powder XRD pattern of TbSi4Pt12 for CuKα, from a structure optimized by DFT (PBE).

Peak list (10 most intense, 10° ≤ 2θ ≤ 90°, low angle first)
| d [Å] | I_rel |
| --- | --- |
| 2.657 | 100 |
| 2.245 | 42 |
| 1.879 | 7 |
| 1.791 | 7 |
| 1.715 | 11 |
| 1.648 | 25 |
| 1.441 | 14 |
| 1.400 | 16 |
| 1.239 | 18 |
| 1.103 | 9 |

Cell and atoms:
```
data_TbSi4Pt12
_symmetry_space_group_name_H-M 'I m -3'
_symmetry_Int_Tables_number 204
_symmetry_space_group_name_Hall '-I 2 2 3'
_cell_length_a 8.4009
_cell_length_b 8.4009
_cell_length_c 8.4009
_cell_angle_alpha 90.00
_cell_angle_beta 90.00
_cell_angle_gamma 90.00
loop_
_atom_site_label
_atom_site_type_symbol
_atom_site_fract_x
_atom_site_fract_y
_atom_site_fract_z
Tb1 Tb 0.0000 0.0000 0.0000
Si1 Si 0.2500 0.2500 0.2500
Pt1 Pt 0.0000 0.1615 0.3397
```